Structure and computed PXRD pattern of MgBi4O9 (a crystal structure in the Materials Project, relaxed with PBE; CuKα).
Intensities are scaled so that the largest is 100.

Atomic structure:
```
data_MgBi4O9
_symmetry_space_group_name_H-M 'P 1 2/c 1'
_symmetry_Int_Tables_number 13
_cell_length_a 8.244
_cell_length_b 5.738
_cell_length_c 11.397
_cell_angle_alpha 90.00
_cell_angle_beta 128.83
_cell_angle_gamma 90.00
loop_
_symmetry_equiv_pos_as_xyz
'x,y,z'
'-x,-y,-z'
'-x,y,-z+1/2'
'x,-y,z+1/2'
loop_
_atom_site_label
_atom_site_type_symbol
_atom_site_fract_x
_atom_site_fract_y
_atom_site_fract_z
_atom_site_occupancy
Mg1 Mg 0.000 0.212 0.250 1
Bi1 Bi 0.207 0.185 0.064 1
Bi2 Bi 0.380 0.274 0.857 1
O1 O 0.117 0.137 0.620 1
O2 O 0.179 0.377 0.207 1
O3 O 0.254 0.014 0.424 1
O4 O 0.308 0.457 0.997 1
O5 O 0.500 0.030 0.250 1
```

Most intense lines, 2θ from 5° to 70°, in order of falling intensity:
Position (°2θ)  Rel. int.
26.6  100
29.6  72
33.1  26
44.0  22
33.4  22
31.2  21
46.2  19
46.4  19
18.9  17
54.1  15

Structure and computed PXRD pattern of MgMo2S4 (a crystal structure in the Materials Project, relaxed with PBE; CuKα).
Intensities are scaled so that the largest is 100.

Atomic structure:
```
data_MgMo2S4
_symmetry_space_group_name_H-M 'P -3 m 1'
_symmetry_Int_Tables_number 164
_symmetry_space_group_name_Hall '-P 3 2"'
_cell_length_a 3.2036
_cell_length_b 3.2036
_cell_length_c 16.3126
_cell_angle_alpha 90.00
_cell_angle_beta 90.00
_cell_angle_gamma 120.00
loop_
_atom_site_label
_atom_site_type_symbol
_atom_site_fract_x
_atom_site_fract_y
_atom_site_fract_z
_atom_site_occupancy
Mg1 Mg 0.0000 0.0000 0.0000 1
Mo1 Mo 0.0000 0.0000 0.2647 1
S1 S 0.3333 0.6667 0.6399 1
S2 S 0.3333 0.6667 0.8320 1
```

Most intense lines, 2θ from 5° to 70°, in order of falling intensity:
Position (°2θ)  Rel. int.
10.8  100
39.3  36
34.1  17
46.8  12
32.3  11
57.5  10
32.7  8
42.8  8
58.7  7
51.2  7

Structure and computed PXRD pattern of ZrU4O10 (a crystal structure in the Materials Project, relaxed with PBE; CuKα).
Intensities are scaled so that the largest is 100.

Atomic structure:
```
data_ZrU4O10
_symmetry_space_group_name_H-M 'C 1 2/m 1'
_symmetry_Int_Tables_number 12
_cell_length_a 31.037
_cell_length_b 3.819
_cell_length_c 6.590
_cell_angle_alpha 90.00
_cell_angle_beta 94.03
_cell_angle_gamma 90.00
loop_
_symmetry_equiv_pos_as_xyz
'x,y,z'
'-x,-y,-z'
'-x,y,-z'
'x,-y,z'
'x+1/2,y+1/2,z'
'-x+1/2,-y+1/2,-z'
'-x+1/2,y+1/2,-z'
'x+1/2,-y+1/2,z'
loop_
_atom_site_label
_atom_site_type_symbol
_atom_site_fract_x
_atom_site_fract_y
_atom_site_fract_z
_atom_site_occupancy
Zr1 Zr 0.100 0.000 0.200 1
U1 U 0.000 0.000 0.500 1
U2 U 0.000 0.500 0.000 1
U3 U 0.100 0.500 0.700 1
U4 U 0.199 0.000 0.901 1
U5 U 0.199 0.500 0.399 1
O1 O 0.025 0.500 0.677 1
O2 O 0.027 0.000 0.173 1
O3 O 0.076 0.000 0.518 1
O4 O 0.076 0.500 0.032 1
O5 O 0.123 0.500 0.367 1
O6 O 0.124 0.000 0.882 1
O7 O 0.172 0.000 0.225 1
O8 O 0.174 0.500 0.724 1
O9 O 0.225 0.000 0.574 1
O10 O 0.225 0.500 0.076 1
```

Most intense lines, 2θ from 5° to 70°, in order of falling intensity:
Position (°2θ)  Rel. int.
28.7  100
33.3  47
47.9  33
28.8  33
56.8  26
47.8  22
56.6  21
56.9  15
47.6  11
69.9  7